[1]
The following is a theoretical X-ray powder pattern of Tm3Zr3Sb2Ir. It was derived from a cell relaxed with PBE, using a wavelength of 1.5418 Å.

Structural model:
```
data_Tm3Zr3Sb2Ir
_chemical_formula_sum 'Tm3 Zr3 Sb2 Ir1'
_space_group_name_H-M_alt 'P -6 2 m'
_space_group_IT_number 189
_space_group_name_Hall 'P -6 -2'
_cell_length_a 8.0410
_cell_length_b 8.0410
_cell_length_c 3.7883
_cell_angle_alpha 90.00
_cell_angle_beta 90.00
_cell_angle_gamma 120.00
loop_
_atom_site_label
_atom_site_type_symbol
_atom_site_fract_x
_atom_site_fract_y
_atom_site_fract_z
Tm1 Tm 0.0000 0.7509 0.0000
Zr1 Zr 0.0000 0.4014 0.5000
Sb1 Sb 0.3333 0.6667 0.0000
Ir1 Ir 0.0000 0.0000 0.5000
```

Peak list (6 most intense, 15° ≤ 2θ ≤ 90°, sorted by position)
2θ = 32.47°, I 86, hkl 1 1 1
2θ = 34.06°, I 61, hkl 2 1 0
2θ = 35.00°, I 100, hkl 2 0 1
2θ = 38.79°, I 52, hkl 3 0 0
2θ = 41.79°, I 80, hkl 2 1 1
2θ = 63.16°, I 45, hkl 3 2 1

[2]
The following is a theoretical X-ray powder pattern of CoCl2. It was derived from a cell relaxed with PBE, using a wavelength of 1.5418 Å.

Structural model:
```
data_CoCl2
_chemical_formula_sum 'Co12 Cl24'
_space_group_name_H-M_alt 'I -4 3 m'
_space_group_IT_number 217
_space_group_name_Hall 'I -4 2 3'
_cell_length_a 10.5137
_cell_length_b 10.5137
_cell_length_c 10.5137
_cell_angle_alpha 90.00
_cell_angle_beta 90.00
_cell_angle_gamma 90.00
loop_
_atom_site_label
_atom_site_type_symbol
_atom_site_fract_x
_atom_site_fract_y
_atom_site_fract_z
Co1 Co 0.0000 0.2500 0.5000
Cl1 Cl 0.1186 0.3679 0.6321
```

Peak list (6 most intense, 15° ≤ 2θ ≤ 90°, sorted by position)
2θ = 20.69°, I 57, hkl 2 1 1
2θ = 29.43°, I 100, hkl 2 2 2
2θ = 31.85°, I 26, hkl 3 2 1
2θ = 43.91°, I 22, hkl 4 3 1
2θ = 49.01°, I 61, hkl 4 4 0
2θ = 58.21°, I 34, hkl 6 2 2

[3]
The following is a theoretical X-ray powder pattern of Y2Al3Co14. It was derived from a cell relaxed with PBE, using a wavelength of 1.5418 Å.

Structural model:
```
data_Y2Al3Co14
_chemical_formula_sum 'Y4 Al6 Co28'
_space_group_name_H-M_alt 'P 63/m m c'
_space_group_IT_number 194
_space_group_name_Hall '-P 6c 2c'
_cell_length_a 8.3447
_cell_length_b 8.3447
_cell_length_c 8.1407
_cell_angle_alpha 90.00
_cell_angle_beta 90.00
_cell_angle_gamma 120.00
loop_
_atom_site_label
_atom_site_type_symbol
_atom_site_fract_x
_atom_site_fract_y
_atom_site_fract_z
Y1 Y 0.0000 0.0000 0.2500
Y2 Y 0.3333 0.6667 0.2500
Al1 Al 0.0000 0.5000 0.0000
Co1 Co 0.0461 0.3725 0.7500
Co2 Co 0.1628 0.3255 0.0157
Co3 Co 0.3333 0.6667 0.6100
```

Peak list (6 most intense, 15° ≤ 2θ ≤ 90°, sorted by position)
2θ = 37.33°, I 44, hkl 3 0 0
2θ = 41.62°, I 40, hkl 2 0 3
2θ = 43.37°, I 52, hkl 2 2 0
2θ = 43.66°, I 100, hkl 3 0 2
2θ = 44.52°, I 32, hkl 0 0 4
2θ = 49.07°, I 36, hkl 2 2 2